# PmH7Pd2Rh2
Calculated powder diffraction line list, Cu Kα X-rays. Input: DFT lattice parameters and positions (GGA-PBE).
Neutral-atom scattering factors, no anomalous dispersion.

Structure:
Lattice parameters (Å, degrees): 3.878 14.491 4.034 90.00 90.00 90.00
Space group Imm2 (No. 44)
Unique sites:
1 Pm 0.000 0.000 0.000 [2 per cell]
2 H 0.000 0.112 0.476 [4 per cell]
3 H 0.000 0.271 0.963 [4 per cell]
4 H 0.000 0.381 0.518 [4 per cell]
5 H 0.000 0.500 0.162 [2 per cell]
6 Pd 0.000 0.252 0.475 [4 per cell]
7 Rh 0.000 0.395 0.966 [4 per cell]

Most intense lines, 10° ≤ 2θ ≤ 90°, by angle:
| 2theta | Rel. int. | h k l |
| --- | --- | --- |
| 28.83 | 22.7 | 0 3 1 |
| 29.54 | 25.7 | 1 3 0 |
| 34.38 | 100.0 | 1 2 1 |
| 38.24 | 29.9 | 0 5 1 |
| 38.79 | 23.8 | 1 5 0 |
| 40.77 | 23.0 | 1 4 1 |
| 44.94 | 22.7 | 0 0 2 |
| 46.86 | 20.8 | 2 0 0 |
| 49.91 | 13.5 | 1 6 1 |
| 62.01 | 14.4 | 2 5 1 |
| 66.94 | 13.4 | 2 0 2 |
| 73.63 | 19.5 | 1 10 1 |


# RbBeTlPd
Calculated powder diffraction line list, Cu Kα X-rays. Input: DFT lattice parameters and positions (GGA-PBE).
Neutral-atom scattering factors, no anomalous dispersion.

Structure:
Lattice parameters (Å, degrees): 5.486 3.644 6.167 90.00 102.77 90.00
Space group Pm (No. 6)
Unique sites:
1 Rb 0.000 0.000 0.000 [1 per cell]
2 Be 0.358 0.000 0.576 [1 per cell]
3 Tl 0.631 0.500 0.415 [1 per cell]
4 Pd 0.144 0.500 0.522 [1 per cell]

Most intense lines, 10° ≤ 2θ ≤ 90°, by angle:
| 2theta | Rel. int. | h k l |
| --- | --- | --- |
| 14.73 | 80.7 | 0 0 1 |
| 24.43 | 24.6 | 0 1 0 |
| 24.59 | 28.7 | 1 0 1 |
| 28.64 | 100.0 | 0 1 1 |
| 29.69 | 52.3 | 0 0 2 |
| 30.72 | 21.7 | 1 0 -2 |
| 31.52 | 17.7 | 1 1 -1 |
| 33.51 | 50.2 | 2 0 -1 |
| 39.81 | 18.2 | 2 0 1 |
| 41.90 | 49.3 | 2 1 0 |
| 45.19 | 18.5 | 1 1 2 |
| 47.27 | 37.5 | 2 1 -2 |


# ThZn4Cd
Calculated powder diffraction line list, Cu Kα X-rays. Input: DFT lattice parameters and positions (GGA-PBE).
Neutral-atom scattering factors, no anomalous dispersion.

Structure:
Lattice parameters (Å, degrees): 8.491 16.515 3.399 90.00 90.00 90.00
Space group Pbam (No. 55)
Unique sites:
1 Th 0.117 0.155 0.000 [4 per cell]
2 Zn 0.032 0.696 0.500 [4 per cell]
3 Zn 0.122 0.962 0.500 [4 per cell]
4 Zn 0.138 0.553 0.500 [4 per cell]
5 Zn 0.217 0.808 0.500 [4 per cell]
6 Cd 0.124 0.416 0.000 [4 per cell]

Most intense lines, 10° ≤ 2θ ≤ 90°, by angle:
| 2theta | Rel. int. | h k l |
| --- | --- | --- |
| 19.21 | 12.0 | 1 3 0 |
| 21.58 | 30.4 | 2 1 0 |
| 32.71 | 33.4 | 1 3 1 |
| 34.21 | 100.0 | 2 1 1 |
| 34.40 | 25.4 | 2 5 0 |
| 35.67 | 12.4 | 3 3 0 |
| 35.81 | 30.9 | 1 4 1 |
| 37.63 | 28.0 | 2 3 1 |
| 38.57 | 19.5 | 3 4 0 |
| 39.65 | 16.0 | 1 7 0 |
| 51.84 | 11.9 | 2 7 1 |
| 53.95 | 15.9 | 0 0 2 |


# NdAl4Zn4
Calculated powder diffraction line list, Cu Kα X-rays. Input: DFT lattice parameters and positions (GGA-PBE).
Neutral-atom scattering factors, no anomalous dispersion.

Structure:
Lattice parameters (Å, degrees): 8.275 8.275 4.949 90.00 90.00 90.00
Space group I4/m (No. 87)
Unique sites:
1 Nd 0.000 0.000 0.000 [2 per cell]
2 Al 0.077 0.366 0.000 [8 per cell]
3 Zn 0.124 0.231 0.500 [8 per cell]

Most intense lines, 10° ≤ 2θ ≤ 90°, by angle:
| 2theta | Rel. int. | h k l |
| --- | --- | --- |
| 15.14 | 25.1 | 1 1 0 |
| 30.16 | 100.0 | 2 1 1 |
| 34.27 | 46.8 | 1 3 0 |
| 36.31 | 43.4 | 0 0 2 |
| 37.32 | 65.1 | 3 0 1 |
| 43.47 | 44.0 | 3 2 1 |
| 49.25 | 16.4 | 2 4 0 |
| 50.78 | 29.9 | 1 3 2 |
| 62.70 | 15.5 | 2 4 2 |
| 69.24 | 12.9 | 5 1 2 |
| 71.99 | 16.9 | 1 6 1 |
| 76.13 | 15.6 | 4 5 1 |


# PmSmBeN2
Calculated powder diffraction line list, Cu Kα X-rays. Input: DFT lattice parameters and positions (GGA-PBE).
Neutral-atom scattering factors, no anomalous dispersion.

Structure:
Lattice parameters (Å, degrees): 5.101 5.134 6.725 90.00 90.00 90.00
Space group Pccm (No. 49)
Unique sites:
1 Pm 0.000 0.000 0.250 [2 per cell]
2 Sm 0.500 0.500 0.250 [2 per cell]
3 Be 0.000 0.500 0.000 [2 per cell]
4 N 0.219 0.285 0.000 [4 per cell]

Most intense lines, 10° ≤ 2θ ≤ 90°, by angle:
| 2theta | Rel. int. | h k l |
| --- | --- | --- |
| 24.60 | 100.0 | 1 1 0 |
| 26.51 | 33.8 | 0 0 2 |
| 34.95 | 18.8 | 0 2 0 |
| 35.18 | 18.4 | 2 0 0 |
| 36.48 | 79.7 | 1 1 2 |
| 44.40 | 24.4 | 0 2 2 |
| 44.59 | 24.2 | 2 0 2 |
| 50.44 | 17.7 | 2 2 0 |
| 57.87 | 17.0 | 2 2 2 |
| 60.75 | 16.5 | 1 1 4 |
| 63.68 | 15.3 | 1 3 2 |
| 63.98 | 15.1 | 3 1 2 |


# NdSm4Sb5
Calculated powder diffraction line list, Cu Kα X-rays. Input: DFT lattice parameters and positions (GGA-PBE).
Neutral-atom scattering factors, no anomalous dispersion.

Structure:
Lattice parameters (Å, degrees): 4.485 6.334 22.394 90.00 90.00 90.00
Space group Immm (No. 71)
Unique sites:
1 Nd 0.000 0.000 0.000 [2 per cell]
2 Sm 0.000 0.000 0.201 [4 per cell]
3 Sm 0.000 0.000 0.400 [4 per cell]
4 Sb 0.000 0.500 0.000 [2 per cell]
5 Sb 0.000 0.500 0.200 [4 per cell]
6 Sb 0.000 0.500 0.399 [4 per cell]

Most intense lines, 10° ≤ 2θ ≤ 90°, by angle:
| 2theta | Rel. int. | h k l |
| --- | --- | --- |
| 24.33 | 1.9 | 0 1 5 |
| 28.16 | 100.0 | 1 0 5 |
| 40.25 | 76.5 | 2 0 0 |
| 47.59 | 1.1 | 1 1 10 |
| 49.85 | 27.4 | 2 2 0 |
| 58.24 | 12.8 | 2 0 10 |
| 65.92 | 35.2 | 3 0 5 |
| 73.16 | 25.9 | 3 2 5 |
| 86.87 | 1.4 | 4 0 0 |
| 86.99 | 7.0 | 2 4 10 |


# Zr2Ni3
Calculated powder diffraction line list, Cu Kα X-rays. Input: DFT lattice parameters and positions (GGA-PBE).
Neutral-atom scattering factors, no anomalous dispersion.

Structure:
Lattice parameters (Å, degrees): 8.567 12.526 5.745 90.00 90.00 90.00
Space group Fdd2 (No. 43)
Unique sites:
1 Zr 0.071 0.204 0.000 [16 per cell]
2 Ni 0.000 0.000 0.119 [8 per cell]
3 Ni 0.050 0.107 0.465 [16 per cell]

Most intense lines, 10° ≤ 2θ ≤ 90°, by angle:
| 2theta | Rel. int. | h k l |
| --- | --- | --- |
| 34.35 | 26.9 | 0 2 2 |
| 35.51 | 13.0 | 2 4 0 |
| 35.84 | 36.7 | 3 1 1 |
| 37.71 | 54.5 | 2 0 2 |
| 40.46 | 41.4 | 2 2 2 |
| 40.68 | 100.0 | 1 5 1 |
| 41.41 | 56.5 | 3 3 1 |
| 44.72 | 33.3 | 4 2 0 |
| 47.94 | 13.5 | 2 4 2 |
| 49.30 | 17.8 | 1 1 3 |
| 51.04 | 15.6 | 3 5 1 |
| 61.95 | 12.9 | 1 5 3 |


# Na8Ag2Ge
Calculated powder diffraction line list, Cu Kα X-rays. Input: DFT lattice parameters and positions (GGA-PBE).
Neutral-atom scattering factors, no anomalous dispersion.

Structure:
Lattice parameters (Å, degrees): 5.280 7.066 9.276 67.61 73.47 89.99
Space group P1 (No. 1)
Unique sites:
1 Na 0.000 0.000 0.000 [1 per cell]
2 Na 0.033 0.541 0.932 [1 per cell]
3 Na 0.240 0.064 0.520 [1 per cell]
4 Na 0.339 0.784 0.323 [1 per cell]
5 Na 0.437 0.261 0.127 [1 per cell]
6 Na 0.642 0.151 0.715 [1 per cell]
7 Na 0.677 0.678 0.646 [1 per cell]
8 Na 0.840 0.486 0.324 [1 per cell]
9 Ag 0.173 0.407 0.650 [1 per cell]
10 Ag 0.502 0.733 0.996 [1 per cell]
11 Ge 0.839 0.054 0.323 [1 per cell]

Most intense lines, 10° ≤ 2θ ≤ 90°, by angle:
| 2theta | Rel. int. | h k l |
| --- | --- | --- |
| 20.60 | 72.0 | 0 1 2 |
| 21.00 | 57.6 | 1 1 1 |
| 23.48 | 37.6 | 1 0 -1 |
| 32.92 | 22.7 | 0 0 3 |
| 33.96 | 36.2 | 2 0 1 |
| 34.72 | 100.0 | 1 2 0 |
| 39.38 | 39.6 | 1 -1 3 |
| 40.05 | 25.6 | 2 1 3 |
| 41.79 | 15.8 | 0 3 0 |
| 41.97 | 22.5 | 1 3 2 |
| 54.88 | 17.2 | 2 3 1 |
| 61.26 | 17.6 | 3 2 1 |


# La2CdPd9
Calculated powder diffraction line list, Cu Kα X-rays. Input: DFT lattice parameters and positions (GGA-PBE).
Neutral-atom scattering factors, no anomalous dispersion.

Structure:
Lattice parameters (Å, degrees): 5.4086 5.4086 27.2124 90.00 90.00 120.00
Space group R-3m (No. 166, hexagonal axes)
Unique sites:
1 La 0.0000 0.0000 0.1338 [6 per cell]
2 Cd 0.0000 0.0000 0.0000 [3 per cell]
3 Pd 0.0000 0.0000 0.3330 [6 per cell]
4 Pd 0.0000 0.0000 0.5000 [3 per cell]
5 Pd 0.0024 0.5012 0.9160 [18 per cell]

Most intense lines, 10° ≤ 2θ ≤ 90°, by angle:
| 2theta | Rel. int. | h k l |
| --- | --- | --- |
| 29.87 | 20.4 | 1 0 7 |
| 32.53 | 31.7 | 0 1 8 |
| 33.13 | 34.3 | 1 1 0 |
| 38.59 | 37.6 | 0 2 1 |
| 38.77 | 100.0 | 1 1 6 |
| 39.03 | 14.4 | 2 0 2 |
| 39.75 | 21.3 | 0 0 12 |
| 40.75 | 18.4 | 0 2 4 |
| 41.27 | 24.1 | 0 1 11 |
| 42.00 | 46.6 | 2 0 5 |
| 62.96 | 23.3 | 0 3 6 |
| 69.52 | 31.8 | 2 2 0 |


# Nd2IrPbO8
Calculated powder diffraction line list, Cu Kα X-rays. Input: DFT lattice parameters and positions (GGA-PBE).
Neutral-atom scattering factors, no anomalous dispersion.

Structure:
Lattice parameters (Å, degrees): 7.200 7.355 6.979 90.00 90.00 90.00
Space group C2/m (No. 12)
Unique sites:
1 Nd 0.003 0.000 0.253 [4 per cell]
2 Ir 0.000 0.500 0.500 [2 per cell]
3 Pb 0.000 0.500 0.000 [2 per cell]
4 O 0.001 0.323 0.713 [8 per cell]
5 O 0.199 0.000 0.998 [4 per cell]
6 O 0.238 0.000 0.502 [4 per cell]

Most intense lines, 10° ≤ 2θ ≤ 90°, by angle:
| 2theta | Rel. int. | h k l |
| --- | --- | --- |
| 24.20 | 57.1 | 0 2 0 |
| 24.73 | 51.0 | 2 0 0 |
| 30.97 | 100.0 | 1 1 2 |
| 34.88 | 30.1 | 2 2 0 |
| 47.02 | 40.5 | 1 3 2 |
| 47.62 | 35.6 | 3 1 -2 |
| 50.72 | 9.3 | 4 0 0 |
| 56.96 | 10.3 | 4 2 0 |
| 58.56 | 10.4 | 0 2 4 |
| 60.12 | 21.4 | 3 3 2 |
| 64.54 | 11.6 | 2 2 -4 |
| 70.72 | 9.6 | 1 5 2 |


# IrPt6Rh5
Calculated powder diffraction line list, Cu Kα X-rays. Input: DFT lattice parameters and positions (GGA-PBE).
Neutral-atom scattering factors, no anomalous dispersion.

Structure:
Lattice parameters (Å, degrees): 3.911 7.815 11.723 90.00 90.00 90.00
Space group Immm (No. 71)
Unique sites:
1 Ir 0.000 0.000 0.000 [2 per cell]
2 Pt 0.000 0.249 0.166 [8 per cell]
3 Pt 0.000 0.251 0.500 [4 per cell]
4 Rh 0.000 0.000 0.334 [4 per cell]
5 Rh 0.000 0.500 0.000 [2 per cell]
6 Rh 0.000 0.500 0.334 [4 per cell]

Most intense lines, 10° ≤ 2θ ≤ 90°, by angle:
| 2theta | Rel. int. | h k l |
| --- | --- | --- |
| 13.62 | 1.3 | 0 1 1 |
| 22.76 | 5.4 | 0 2 0 |
| 32.39 | 4.6 | 1 0 3 |
| 39.95 | 100.0 | 1 2 3 |
| 46.46 | 48.9 | 2 0 0 |
| 52.33 | 2.6 | 2 2 0 |
| 57.79 | 2.0 | 1 4 3 |
| 67.81 | 31.7 | 2 4 0 |
| 72.55 | 1.3 | 2 2 6 |
| 77.16 | 0.9 | 3 0 3 |
| 81.71 | 38.2 | 3 2 3 |
| 86.19 | 11.3 | 2 4 6 |


# Sr4Cd6Pb7
Calculated powder diffraction line list, Cu Kα X-rays. Input: DFT lattice parameters and positions (GGA-PBE).
Neutral-atom scattering factors, no anomalous dispersion.

Structure:
Lattice parameters (Å, degrees): 10.151 10.151 10.151 90.00 90.00 90.00
Space group Im-3m (No. 229)
Unique sites:
1 Sr 0.250 0.250 0.250 [8 per cell]
2 Cd 0.000 0.000 0.306 [12 per cell]
3 Pb 0.000 0.000 0.000 [2 per cell]
4 Pb 0.000 0.250 0.500 [12 per cell]

Most intense lines, 10° ≤ 2θ ≤ 90°, by angle:
| 2theta | Rel. int. | h k l |
| --- | --- | --- |
| 17.47 | 22.6 | 2 0 0 |
| 21.44 | 14.4 | 2 1 1 |
| 30.51 | 100.0 | 2 2 2 |
| 33.02 | 41.8 | 3 2 1 |
| 35.37 | 73.2 | 4 0 0 |
| 41.74 | 24.9 | 3 3 2 |
| 50.89 | 44.0 | 4 4 0 |
| 60.50 | 31.1 | 6 2 2 |
| 62.01 | 16.0 | 6 3 1 |
| 63.49 | 12.7 | 4 4 4 |
| 67.85 | 15.2 | 6 3 3 |
| 85.58 | 16.4 | 8 4 0 |


# Nd6InBr8
Calculated powder diffraction line list, Cu Kα X-rays. Input: DFT lattice parameters and positions (GGA-PBE).
Neutral-atom scattering factors, no anomalous dispersion.

Structure:
Lattice parameters (Å, degrees): 7.2072 7.2072 33.9725 90.00 90.00 120.00
Space group R-3 (No. 148, hexagonal axes)
Unique sites:
1 Nd 0.9998 0.3399 0.4459 [18 per cell]
2 In 0.0000 0.0000 0.5000 [3 per cell]
3 Br 0.0000 0.0000 0.1667 [6 per cell]
4 Br 0.9999 0.3231 0.6091 [18 per cell]

Most intense lines, 10° ≤ 2θ ≤ 90°, by angle:
| 2theta | Rel. int. | h k l |
| --- | --- | --- |
| 15.65 | 8.0 | 0 0 6 |
| 24.71 | 8.6 | 1 1 0 |
| 25.95 | 9.3 | 1 1 3 |
| 29.38 | 100.0 | 1 1 6 |
| 34.41 | 10.7 | 1 1 9 |
| 40.52 | 40.9 | 2 -1 12 |
| 43.50 | 31.7 | 3 0 0 |
| 53.36 | 18.2 | 4 -2 6 |
| 60.95 | 11.9 | 2 2 12 |
| 66.94 | 16.9 | 3 0 18 |
| 71.20 | 15.1 | 4 1 6 |
| 77.82 | 11.6 | 5 -1 12 |